Diffraction record for Co5Re. The powder diffractogram is calculated, not measured: it uses DFT lattice parameters and positions (PBE) and copper Kα.
Peak positions follow from Bragg's law for the DFT cell and can differ from measured ones.

```
Co5Re
1.0
2.3062 -4.1882 0.0000
2.3062 4.1882 0.0000
0.0000 0.0000 7.4093
Co Re
10 2
Direct
0.0000 0.0000 0.0000 Co
0.0000 0.0000 0.5000 Co
0.1798 0.3360 0.2500 Co
0.3220 0.6780 0.5748 Co
0.3220 0.6780 0.9252 Co
0.3360 0.1798 0.7500 Co
0.6640 0.8202 0.2500 Co
0.6780 0.3220 0.0748 Co
0.6780 0.3220 0.4252 Co
0.8202 0.6640 0.7500 Co
0.1823 0.8177 0.2500 Re
0.8177 0.1823 0.7500 Re
```

Most intense lines, 15 to 90 degrees two-theta, in order of falling intensity:
- 2θ = 45.2°, rel. 100
- 2θ = 42.9°, rel. 95
- 2θ = 46.6°, rel. 77
- 2θ = 25.1°, rel. 70
- 2θ = 45.0°, rel. 65
- 2θ = 24.0°, rel. 41
- 2θ = 80.4°, rel. 35
- 2θ = 51.5°, rel. 30
- 2θ = 39.1°, rel. 24
- 2θ = 49.2°, rel. 22